[1]
# Sr2MgZrCrO6
Calculated XRD peak list, Cu Kα, 1.54184 Å. Input: a cell relaxed with PBE+U.
Peak positions follow from Bragg's law for the DFT cell and can differ from measured ones.

Structural model:
Cell: 6.606 6.606 6.606 Å, 128.71 127.96 76.08°
Sites, in units of the cell vectors:
Sr 0.178 0.178 0.000
Sr 0.822 0.822 0.000
Mg 0.500 0.500 0.000
Zr 0.000 0.500 0.500
Cr 0.500 0.000 0.500
O 0.206 0.706 0.500
O 0.259 0.246 0.504
O 0.259 0.754 0.013
O 0.741 0.246 0.987
O 0.741 0.754 0.496
O 0.794 0.294 0.500

The 8 most intense peaks (15° ≤ 2θ ≤ 90°), sorted by position:
5.063 Å, I = 34; 3.206 Å, I = 100; 2.976 Å, I = 36; 2.966 Å, I = 44; 2.898 Å, I = 47; 2.859 Å, I = 45; 2.073 Å, I = 34; 2.035 Å, I = 65


[2]
# MgCo3BiO8
Calculated XRD peak list, Cu Kα, 1.54184 Å. Input: a cell relaxed with PBE+U.
Peak positions follow from Bragg's law for the DFT cell and can differ from measured ones.

Structural model:
Cell: 5.773 5.871 6.504 Å, 64.03 64.11 61.15°
Sites, in units of the cell vectors:
Mg 0.000 0.000 0.000
Co 0.000 0.500 0.000
Co 0.500 0.000 0.000
Co 0.500 0.500 0.000
Bi 0.500 0.500 0.500
O 0.231 0.242 0.823
O 0.236 0.706 0.816
O 0.259 0.311 0.180
O 0.296 0.762 0.177
O 0.704 0.238 0.823
O 0.741 0.689 0.820
O 0.764 0.294 0.184
O 0.769 0.758 0.177

The 8 most intense peaks (15° ≤ 2θ ≤ 90°), sorted by position:
4.924 Å, I = 100; 4.845 Å, I = 86; 4.794 Å, I = 84; 4.323 Å, I = 60; 2.802 Å, I = 80; 2.189 Å, I = 50; 2.163 Å, I = 58; 2.159 Å, I = 46


[3]
# Er2Mo3H2Se2O17
Calculated XRD peak list, Cu Kα, 1.54184 Å. Input: a cell relaxed with PBE+U.
Peak positions follow from Bragg's law for the DFT cell and can differ from measured ones.

Structural model:
Cell: 6.830 7.287 14.326 Å, 90.00 99.59 90.00°
Sites, in units of the cell vectors:
Er 0.110 0.250 0.042
Er 0.242 0.750 0.377
Er 0.758 0.250 0.623
Er 0.890 0.750 0.958
Mo 0.292 0.004 0.637
Mo 0.292 0.496 0.637
Mo 0.372 0.750 0.833
Mo 0.628 0.250 0.167
Mo 0.708 0.504 0.363
Mo 0.708 0.996 0.363
H 0.252 0.143 0.862
H 0.252 0.357 0.862
H 0.748 0.643 0.138
H 0.748 0.857 0.138
Se 0.244 0.250 0.310
Se 0.289 0.750 0.118
Se 0.711 0.250 0.882
Se 0.756 0.750 0.690
O 0.048 0.075 0.644
O 0.048 0.425 0.644
O 0.131 0.750 0.864
O 0.148 0.573 0.055
O 0.148 0.927 0.055
O 0.200 0.250 0.893
O 0.211 0.750 0.225
O 0.264 0.568 0.518
O 0.264 0.932 0.518
O 0.270 0.750 0.678
O 0.298 0.250 0.198
O 0.378 0.503 0.786
O 0.378 0.997 0.786
O 0.382 0.060 0.358
O 0.382 0.440 0.358
O 0.410 0.250 0.628
O 0.469 0.250 0.056
O 0.531 0.750 0.944
O 0.590 0.750 0.372
O 0.618 0.560 0.642
O 0.618 0.940 0.642
O 0.622 0.003 0.214
O 0.622 0.497 0.214
O 0.702 0.750 0.802
O 0.730 0.250 0.322
O 0.736 0.068 0.482
O 0.736 0.432 0.482
O 0.789 0.250 0.775
O 0.800 0.750 0.107
O 0.852 0.073 0.945
O 0.852 0.427 0.945
O 0.869 0.250 0.136
O 0.952 0.575 0.356
O 0.952 0.925 0.356

The 8 most intense peaks (15° ≤ 2θ ≤ 90°), sorted by position:
5.072 Å, I = 56; 4.709 Å, I = 62; 3.530 Å, I = 100; 3.367 Å, I = 90; 3.180 Å, I = 67; 2.835 Å, I = 52; 2.753 Å, I = 48; 2.721 Å, I = 49


[4]
# CrH12C6N3O12
Calculated XRD peak list, Cu Kα, 1.54184 Å. Input: a cell relaxed with PBE+U.
Peak positions follow from Bragg's law for the DFT cell and can differ from measured ones.

Structural model:
Cell: 8.159 8.207 8.692 Å, 62.34 62.31 60.45°
Sites, in units of the cell vectors:
Cr 0.000 0.000 0.000
H 0.209 0.284 0.834
H 0.254 0.377 0.373
H 0.283 0.675 0.835
H 0.307 0.773 0.206
H 0.376 0.991 0.374
H 0.393 0.465 0.409
H 0.465 0.730 0.412
H 0.672 0.207 0.833
H 0.715 0.301 0.206
H 0.734 0.392 0.410
H 0.777 0.714 0.207
H 0.997 0.256 0.374
C 0.153 0.740 0.787
C 0.242 0.669 0.232
C 0.321 0.154 0.788
C 0.670 0.855 0.233
C 0.739 0.316 0.787
C 0.857 0.242 0.233
N 0.306 0.490 0.340
N 0.490 0.860 0.342
N 0.864 0.306 0.341
O 0.004 0.881 0.840
O 0.006 0.118 0.155
O 0.115 0.724 0.156
O 0.159 0.670 0.681
O 0.201 0.199 0.401
O 0.275 0.004 0.843
O 0.473 0.470 0.580
O 0.491 0.159 0.684
O 0.671 0.484 0.681
O 0.721 0.004 0.155
O 0.794 0.789 0.639
O 0.882 0.271 0.841

The 8 most intense peaks (15° ≤ 2θ ≤ 90°), sorted by position:
4.357 Å, I = 67; 4.328 Å, I = 34; 3.739 Å, I = 50; 3.591 Å, I = 85; 3.568 Å, I = 100; 2.741 Å, I = 25; 2.734 Å, I = 24; 2.289 Å, I = 33


[5]
# Ca4Mn3SbO12
Calculated XRD peak list, Cu Kα, 1.54184 Å. Input: a cell relaxed with PBE+U.
Peak positions follow from Bragg's law for the DFT cell and can differ from measured ones.

Structural model:
Cell: 5.354 9.554 9.587 Å, 69.39 89.80 89.68°
Sites, in units of the cell vectors:
Ca 0.008 0.149 0.111
Ca 0.010 0.658 0.615
Ca 0.487 0.901 0.361
Ca 0.488 0.412 0.854
Ca 0.512 0.588 0.146
Ca 0.513 0.099 0.639
Ca 0.990 0.342 0.385
Ca 0.992 0.851 0.889
Mn 0.000 0.000 0.500
Mn 0.000 0.500 0.000
Mn 0.495 0.247 0.249
Mn 0.500 0.000 0.000
Mn 0.500 0.500 0.500
Mn 0.505 0.753 0.751
Sb 0.003 0.255 0.751
Sb 0.997 0.745 0.249
O 0.084 0.631 0.112
O 0.085 0.147 0.619
O 0.202 0.920 0.120
O 0.203 0.432 0.629
O 0.208 0.627 0.840
O 0.212 0.123 0.332
O 0.290 0.374 0.083
O 0.292 0.877 0.590
O 0.300 0.175 0.885
O 0.309 0.668 0.366
O 0.419 0.896 0.864
O 0.423 0.372 0.360
O 0.577 0.628 0.640
O 0.581 0.104 0.136
O 0.691 0.332 0.634
O 0.700 0.825 0.115
O 0.708 0.123 0.410
O 0.710 0.626 0.917
O 0.788 0.877 0.668
O 0.792 0.373 0.160
O 0.797 0.568 0.371
O 0.798 0.080 0.880
O 0.915 0.853 0.381
O 0.916 0.369 0.888

The 8 most intense peaks (15° ≤ 2θ ≤ 90°), sorted by position:
3.934 Å, I = 26; 3.818 Å, I = 50; 2.746 Å, I = 100; 2.739 Å, I = 52; 2.727 Å, I = 92; 2.677 Å, I = 45; 1.967 Å, I = 38; 1.909 Å, I = 66


[6]
# Li9Mn2Co5O16
Calculated XRD peak list, Cu Kα, 1.54184 Å. Input: a cell relaxed with PBE+U.
Peak positions follow from Bragg's law for the DFT cell and can differ from measured ones.

Structural model:
Cell: 3.023 9.768 9.990 Å, 87.31 88.39 82.59°
Sites, in units of the cell vectors:
Li 0.000 0.000 0.000
Li 0.007 0.992 0.497
Li 0.252 0.491 0.375
Li 0.265 0.490 0.875
Li 0.384 0.243 0.064
Li 0.493 0.998 0.254
Li 0.512 0.995 0.752
Li 0.761 0.495 0.630
Li 0.771 0.485 0.126
Mn 0.132 0.743 0.188
Mn 0.383 0.243 0.564
Co 0.133 0.745 0.689
Co 0.627 0.743 0.937
Co 0.639 0.742 0.440
Co 0.867 0.244 0.303
Co 0.899 0.243 0.824
O 0.079 0.858 0.842
O 0.094 0.856 0.345
O 0.174 0.628 0.033
O 0.188 0.628 0.537
O 0.288 0.357 0.227
O 0.301 0.358 0.717
O 0.465 0.128 0.411
O 0.483 0.129 0.900
O 0.532 0.862 0.090
O 0.589 0.859 0.592
O 0.675 0.629 0.784
O 0.728 0.627 0.286
O 0.798 0.354 0.461
O 0.828 0.358 0.952
O 0.937 0.128 0.175
O 0.969 0.132 0.666

The 8 most intense peaks (15° ≤ 2θ ≤ 90°), sorted by position:
4.839 Å, I = 100; 2.594 Å, I = 19; 2.514 Å, I = 14; 2.441 Å, I = 11; 2.169 Å, I = 33; 2.087 Å, I = 29; 2.016 Å, I = 25; 1.510 Å, I = 8